Diffraction record for Pr4HgPbN. The X-ray diffraction stick pattern is calculated, not measured: it uses a GGA-PBE-relaxed structure and Cu Kα (λ = 1.5418 Å).
No peak broadening, texture or thermal motion is included.

Main lines, by intensity (2θ = 10–90°):
h k l, two_theta, Rel. int.
2 4 0, 33.51, 100
2 0 2, 35.95, 64
2 2 0, 27.50, 59
2 6 2, 49.46, 40
4 4 2, 63.07, 33
2 0 0, 25.21, 29
0 6 0, 32.84, 24
4 0 0, 51.75, 22
0 6 4, 62.59, 22
4 6 4, 85.45, 19

Crystal structure
```
data_Pr4HgPbN
_chemical_formula_sum 'Pr16 Hg4 Pb4 N4'
_symmetry_space_group_name_H-M 'C m c m'
_symmetry_Int_Tables_number 63
_symmetry_space_group_name_Hall '-C 2c 2'
_cell_length_a 7.065
_cell_length_b 16.362
_cell_length_c 7.068
_cell_angle_alpha 90.00
_cell_angle_beta 90.00
_cell_angle_gamma 90.00
loop_
_atom_site_label
_atom_site_type_symbol
_atom_site_fract_x
_atom_site_fract_y
_atom_site_fract_z
_atom_site_occupancy
Pr1 Pr 0.000 0.079 0.250 1
Pr2 Pr 0.000 0.412 0.250 1
Pr3 Pr 0.250 0.250 0.000 1
Hg1 Hg 0.000 0.116 0.750 1
Pb1 Pb 0.000 0.390 0.750 1
N1 N 0.000 0.254 0.250 1
```



Diffraction record for RbHf2Ru. The X-ray diffraction stick pattern is calculated, not measured: it uses a GGA-PBE-relaxed structure and Cu Kα (λ = 1.5418 Å).
No peak broadening, texture or thermal motion is included.

Main lines, by intensity (2θ = 10–90°):
h k l, two_theta, Rel. int.
1 0 1, 14.92, 100
2 0 2, 30.09, 66
2 2 4, 46.56, 47
1 1 2, 22.80, 40
2 0 6, 46.02, 32
1 0 3, 22.56, 29
2 1 1, 31.47, 25
2 1 3, 35.90, 24
4 2 2, 65.69, 14
2 1 5, 43.58, 14

Crystal structure
```
data_RbHf2Ru
_chemical_formula_sum 'Rb4 Hf8 Ru4'
_symmetry_space_group_name_H-M 'I 41/a m d'
_symmetry_Int_Tables_number 141
_cell_length_a 6.475
_cell_length_b 6.475
_cell_length_c 14.903
_cell_angle_alpha 90.00
_cell_angle_beta 90.00
_cell_angle_gamma 90.00
loop_
_symmetry_equiv_pos_as_xyz
'x,y,z'
'-x,-y,-z'
'-y+1/4,x+3/4,z+1/4'
'y+1/4,-x+3/4,-z+1/4'
'-x+1/2,-y,z+1/2'
'x+1/2,y,-z+1/2'
'y+1/4,-x+1/4,z+3/4'
'-y+1/4,x+1/4,-z+3/4'
'x,-y,-z'
'-x,y,z'
'-y+1/4,-x+1/4,-z+3/4'
'y+1/4,x+1/4,z+3/4'
'-x+1/2,y,-z+1/2'
'x+1/2,-y,z+1/2'
'y+1/4,x+3/4,-z+1/4'
'-y+1/4,-x+3/4,z+1/4'
'x+1/2,y+1/2,z+1/2'
'-x+1/2,-y+1/2,-z+1/2'
'-y+3/4,x+1/4,z+3/4'
'y+3/4,-x+1/4,-z+3/4'
'-x,-y+1/2,z'
'x,y+1/2,-z'
'y+3/4,-x+3/4,z+1/4'
'-y+3/4,x+3/4,-z+1/4'
'x+1/2,-y+1/2,-z+1/2'
'-x+1/2,y+1/2,z+1/2'
'-y+3/4,-x+3/4,-z+1/4'
'y+3/4,x+3/4,z+1/4'
'-x,y+1/2,-z'
'x,-y+1/2,z'
'y+3/4,x+1/4,-z+3/4'
'-y+3/4,-x+1/4,z+3/4'
loop_
_atom_site_label
_atom_site_type_symbol
_atom_site_fract_x
_atom_site_fract_y
_atom_site_fract_z
_atom_site_occupancy
Rb1 Rb 0.000 0.250 0.375 1
Hf1 Hf 0.000 0.000 0.000 1
Ru1 Ru 0.000 0.250 0.875 1
```



Diffraction record for LaCeI2N. The X-ray diffraction stick pattern is calculated, not measured: it uses a GGA-PBE-relaxed structure and Cu Kα (λ = 1.5418 Å).
No peak broadening, texture or thermal motion is included.

Main lines, by intensity (2θ = 10–90°):
h k l, two_theta, Rel. int.
1 1 0, 28.91, 100
1 0 4, 30.50, 77
2 0 0, 41.34, 42
2 1 4, 52.24, 34
1 0 3, 26.50, 32
1 1 6, 45.23, 21
1 1 5, 40.84, 19
2 1 10, 77.70, 18
3 1 0, 67.85, 18
1 0 10, 62.47, 17

Crystal structure
```
data_LaCeI2N
_chemical_formula_sum 'La2 Ce2 I4 N2'
_symmetry_space_group_name_H-M 'P 4/n m m'
_symmetry_Int_Tables_number 129
_cell_length_a 4.368
_cell_length_b 4.368
_cell_length_c 15.811
_cell_angle_alpha 90.00
_cell_angle_beta 90.00
_cell_angle_gamma 90.00
loop_
_symmetry_equiv_pos_as_xyz
'x,y,z'
'-x,-y,-z'
'-y+1/2,x,z'
'y+1/2,-x,-z'
'-x+1/2,-y+1/2,z'
'x+1/2,y+1/2,-z'
'y,-x+1/2,z'
'-y,x+1/2,-z'
'x+1/2,-y,-z'
'-x+1/2,y,z'
'-y,-x,-z'
'y,x,z'
'-x,y+1/2,-z'
'x,-y+1/2,z'
'y+1/2,x+1/2,-z'
'-y+1/2,-x+1/2,z'
loop_
_atom_site_label
_atom_site_type_symbol
_atom_site_fract_x
_atom_site_fract_y
_atom_site_fract_z
_atom_site_occupancy
La1 La 0.250 0.250 0.066 1
Ce1 Ce 0.250 0.250 0.584 1
I1 I 0.250 0.250 0.379 1
I2 I 0.250 0.250 0.786 1
N1 N 0.250 0.750 0.000 1
```



Diffraction record for Zn9CuNi2. The X-ray diffraction stick pattern is calculated, not measured: it uses a GGA-PBE-relaxed structure and Cu Kα (λ = 1.5418 Å).
No peak broadening, texture or thermal motion is included.

Main lines, by intensity (2θ = 10–90°):
h k l, two_theta, Rel. int.
2 1 1, 41.13, 100
1 -2 1, 41.32, 49
0 2 2, 41.52, 49
-2 1 1, 46.79, 35
1 0 3, 47.54, 33
1 3 0, 49.73, 26
-1 4 1, 71.05, 16
3 0 -3, 82.78, 11
3 1 4, 84.10, 11
3 -1 2, 68.83, 10

Crystal structure
```
data_Zn9CuNi2
_chemical_formula_sum 'Zn9 Cu1 Ni2'
_symmetry_space_group_name_H-M 'P -1'
_symmetry_Int_Tables_number 2
_symmetry_space_group_name_Hall '-P 1'
_cell_length_a 4.716
_cell_length_b 5.815
_cell_length_c 6.054
_cell_angle_alpha 84.31
_cell_angle_beta 83.18
_cell_angle_gamma 84.43
loop_
_atom_site_label
_atom_site_type_symbol
_atom_site_fract_x
_atom_site_fract_y
_atom_site_fract_z
_atom_site_occupancy
Zn1 Zn 0.000 0.000 0.000 1
Zn2 Zn 0.015 0.343 0.677 1
Zn3 Zn 0.248 0.906 0.586 1
Zn4 Zn 0.263 0.268 0.235 1
Zn5 Zn 0.492 0.807 0.166 1
Cu1 Cu 0.500 0.500 0.500 1
Ni1 Ni 0.240 0.597 0.914 1
```